Structure and theoretical PXRD pattern of KNaLi2S2O8 (a DFT-relaxed cell (PBE, the Materials Project); Cu Kα (weighted mean of Kα1 and Kα2)).
Intensities are scaled so that the largest is 100.

Crystal structure
```
KNaLi2S2O8
1.0
4.999 0.000 0.000
0.000 7.881 0.000
0.000 0.000 19.332
K Na Li S O
4 4 8 8 32
direct
0.002 0.057 0.073
0.498 0.943 0.573
0.502 0.443 0.927
0.998 0.557 0.427
0.015 0.249 0.276
0.485 0.751 0.776
0.515 0.251 0.724
0.985 0.749 0.224
0.005 0.744 0.911
0.036 0.099 0.859
0.464 0.901 0.359
0.495 0.256 0.411
0.505 0.756 0.089
0.536 0.401 0.141
0.964 0.599 0.641
0.995 0.244 0.589
0.008 0.548 0.059
0.033 0.968 0.707
0.467 0.032 0.207
0.492 0.452 0.559
0.508 0.952 0.941
0.533 0.532 0.293
0.967 0.468 0.793
0.992 0.048 0.441
0.018 0.066 0.517
0.110 0.199 0.405
0.129 0.811 0.671
0.131 0.891 0.418
0.132 0.119 0.668
0.150 0.973 0.778
0.200 0.462 0.577
0.235 0.530 0.290
0.265 0.470 0.790
0.300 0.538 0.077
0.350 0.027 0.278
0.368 0.881 0.168
0.369 0.109 0.918
0.371 0.189 0.171
0.390 0.801 0.905
0.482 0.934 0.017
0.518 0.434 0.483
0.610 0.301 0.595
0.629 0.689 0.329
0.631 0.609 0.582
0.632 0.381 0.332
0.650 0.527 0.222
0.700 0.038 0.423
0.735 0.970 0.710
0.765 0.030 0.210
0.800 0.962 0.923
0.850 0.473 0.722
0.868 0.619 0.832
0.869 0.391 0.082
0.871 0.311 0.829
0.890 0.699 0.095
0.982 0.566 0.983
```

Largest 8 diffraction maxima, by intensity, 10° ≤ 2θ ≤ 90°:
2θ (°), I (rel.), hkl
22.53, 100.0, 0 2 0
21.56, 57.1, 0 1 4
32.09, 50.1, 1 2 3
29.21, 42.7, 1 0 5
37.20, 19.5, 0 0 8
35.95, 18.3, 2 0 0
30.33, 17.2, 1 2 2
31.37, 17.2, 1 1 5